No. 1
Computed X-ray diffraction stick pattern of Ca2SbAs for copper Kα, from a DFT-relaxed cell (PBE, Alexandria).
Lines closer than 0.1° are merged.

Largest 10 diffraction maxima, low angle first, 5 to 70 degrees two-theta:
15.6 deg, rel. 25, (2 0 0); 22.0 deg, rel. 52, (1 1 0); 22.5 deg, rel. 28, (2 0 -1); 28.6 deg, rel. 100, (1 1 -1); 31.0 deg, rel. 51, (1 1 1); 31.4 deg, rel. 62, (4 0 0); 34.5 deg, rel. 83, (3 1 -1); 40.2 deg, rel. 59, (3 1 1); 40.5 deg, rel. 35, (0 0 2); 41.7 deg, rel. 35, (0 2 0)

Cell and atoms:
```
data_Ca2SbAs
_chemical_formula_sum 'Ca4 Sb2 As2'
_space_group_name_H-M_alt 'C 1 m 1'
_space_group_IT_number 8
_cell_length_a 11.6578
_cell_length_b 4.3324
_cell_length_c 4.5602
_cell_angle_alpha 90.00
_cell_angle_beta 102.50
_cell_angle_gamma 90.00
loop_
_space_group_symop_operation_xyz
'x,y,z'
'x,-y,z'
'x+1/2,y+1/2,z'
'x+1/2,-y+1/2,z'
loop_
_atom_site_label
_atom_site_fract_x
_atom_site_fract_y
_atom_site_fract_z
Ca1 0.0000 0.0000 0.0000
Ca2 0.2387 0.5000 0.4776
Sb1 0.2779 0.0000 0.0122
As1 0.4776 0.0000 0.4600
```



No. 2
Computed X-ray diffraction stick pattern of MgSc5Sn3 for copper Kα, from a DFT-relaxed cell (PBE, Alexandria).
Lines closer than 0.1° are merged.

Largest 10 diffraction maxima, low angle first, 5 to 70 degrees two-theta:
20.4 deg, rel. 11, (1 1 0); 25.0 deg, rel. 32, (1 1 1); 28.9 deg, rel. 16, (0 0 2); 34.7 deg, rel. 21, (2 1 1); 35.7 deg, rel. 100, (3 0 0); 45.8 deg, rel. 11, (3 1 1); 46.6 deg, rel. 17, (3 0 2); 51.3 deg, rel. 12, (2 2 2); 64.1 deg, rel. 15, (3 3 0); 67.4 deg, rel. 9, (4 2 1)

Cell and atoms:
```
data_MgSc5Sn3
_chemical_formula_sum 'Mg2 Sc10 Sn6'
_space_group_name_H-M_alt 'P 63/m c m'
_space_group_IT_number 193
_space_group_name_Hall '-P 6c 2'
_cell_length_a 8.7089
_cell_length_b 8.7089
_cell_length_c 6.1825
_cell_angle_alpha 90.00
_cell_angle_beta 90.00
_cell_angle_gamma 120.00
loop_
_atom_site_label
_atom_site_fract_x
_atom_site_fract_y
_atom_site_fract_z
Mg1 0.0000 0.0000 0.0000
Sc1 0.0000 0.2926 0.2500
Sc2 0.3333 0.6667 0.0000
Sn1 0.0000 0.3692 0.7500
```



What is the formula in the second record? MgSc5Sn3



Please write out number 1 again, unchanged.
Computed X-ray diffraction stick pattern of Ca2SbAs for copper Kα, from a DFT-relaxed cell (PBE, Alexandria).
Lines closer than 0.1° are merged.

Largest 10 diffraction maxima, low angle first, 5 to 70 degrees two-theta:
15.6 deg, rel. 25, (2 0 0); 22.0 deg, rel. 52, (1 1 0); 22.5 deg, rel. 28, (2 0 -1); 28.6 deg, rel. 100, (1 1 -1); 31.0 deg, rel. 51, (1 1 1); 31.4 deg, rel. 62, (4 0 0); 34.5 deg, rel. 83, (3 1 -1); 40.2 deg, rel. 59, (3 1 1); 40.5 deg, rel. 35, (0 0 2); 41.7 deg, rel. 35, (0 2 0)

Cell and atoms:
```
data_Ca2SbAs
_chemical_formula_sum 'Ca4 Sb2 As2'
_space_group_name_H-M_alt 'C 1 m 1'
_space_group_IT_number 8
_cell_length_a 11.6578
_cell_length_b 4.3324
_cell_length_c 4.5602
_cell_angle_alpha 90.00
_cell_angle_beta 102.50
_cell_angle_gamma 90.00
loop_
_space_group_symop_operation_xyz
'x,y,z'
'x,-y,z'
'x+1/2,y+1/2,z'
'x+1/2,-y+1/2,z'
loop_
_atom_site_label
_atom_site_fract_x
_atom_site_fract_y
_atom_site_fract_z
Ca1 0.0000 0.0000 0.0000
Ca2 0.2387 0.5000 0.4776
Sb1 0.2779 0.0000 0.0122
As1 0.4776 0.0000 0.4600
```



Repeat the second record exactly.
Computed X-ray diffraction stick pattern of MgSc5Sn3 for copper Kα, from a DFT-relaxed cell (PBE, Alexandria).
Lines closer than 0.1° are merged.

Largest 10 diffraction maxima, low angle first, 5 to 70 degrees two-theta:
20.4 deg, rel. 11, (1 1 0); 25.0 deg, rel. 32, (1 1 1); 28.9 deg, rel. 16, (0 0 2); 34.7 deg, rel. 21, (2 1 1); 35.7 deg, rel. 100, (3 0 0); 45.8 deg, rel. 11, (3 1 1); 46.6 deg, rel. 17, (3 0 2); 51.3 deg, rel. 12, (2 2 2); 64.1 deg, rel. 15, (3 3 0); 67.4 deg, rel. 9, (4 2 1)

Cell and atoms:
```
data_MgSc5Sn3
_chemical_formula_sum 'Mg2 Sc10 Sn6'
_space_group_name_H-M_alt 'P 63/m c m'
_space_group_IT_number 193
_space_group_name_Hall '-P 6c 2'
_cell_length_a 8.7089
_cell_length_b 8.7089
_cell_length_c 6.1825
_cell_angle_alpha 90.00
_cell_angle_beta 90.00
_cell_angle_gamma 120.00
loop_
_atom_site_label
_atom_site_fract_x
_atom_site_fract_y
_atom_site_fract_z
Mg1 0.0000 0.0000 0.0000
Sc1 0.0000 0.2926 0.2500
Sc2 0.3333 0.6667 0.0000
Sn1 0.0000 0.3692 0.7500
```